Structure and computed PXRD pattern of Tl3TeI (DFT lattice parameters and positions (PBE); CuKα).
No peak broadening, texture or thermal motion is included.

Peak list (10 most intense, 2θ = 5–70°, in order of falling intensity)
- 32.5 deg, d 2.753, I 100.0, (2 2 3)
- 25.2 deg, d 3.534, I 64.3, (2 1 2)
- 26.1 deg, d 3.420, I 51.8, (2 2 1)
- 30.2 deg, d 2.956, I 45.4, (0 2 2)
- 23.5 deg, d 3.793, I 28.6, (0 0 2)
- 35.2 deg, d 2.549, I 26.2, (2 3 1)
- 47.8 deg, d 1.901, I 18.4, (2 0 4)
- 13.4 deg, d 6.620, I 18.2, (1 1 1)
- 35.5 deg, d 2.528, I 17.4, (0 0 3)
- 55.6 deg, d 1.653, I 16.7, (4 3 0)

Structure:
```
10
Lattice="7.9835 0.0000 0.0000 3.9815 6.9239 0.0000 3.9849 2.3042 7.5844" Properties=species:S:1:pos:R:3 pbc="T T T"
Tl 1.6053 1.5527 1.5868
Tl 4.5222 4.7489 1.5875
Tl 10.1165 8.6070 5.9967
Tl 5.8334 0.6211 1.5877
Tl 11.4276 4.4792 5.9969
Tl 14.3446 7.6754 5.9976
Te 3.9876 2.3069 3.5135
Te 11.9623 6.9212 4.0709
I 7.9701 4.6162 6.3083
I 7.9798 4.6119 1.2761
```